(1)
Diffraction record for AcMg2Al4. The powder X-ray diffraction pattern is computed, not measured: it uses a cell relaxed with PBE and Cu Kα X-rays.
Intensities are scaled so that the largest is 100.

The 10 most intense peaks (2θ from 10° to 90°), in order of falling intensity:
d_spacing	I (rel.)
8.348	100
2.985	54
2.204	47
2.706	45
4.409	40
3.704	39
4.128	38
3.250	37
2.851	31
3.044	29

```
AcMg2Al4
1.0
8.493 -3.196 0.000
8.493 3.196 0.000
-1.142 0.000 6.086
Ac Mg Al
2 4 8
direct
0.245 0.755 0.750 Ac
0.755 0.245 0.250 Ac
0.298 0.320 0.412 Mg
0.320 0.298 0.912 Mg
0.680 0.702 0.088 Mg
0.702 0.680 0.588 Mg
0.160 0.166 0.086 Al
0.166 0.160 0.586 Al
0.176 0.666 0.210 Al
0.334 0.824 0.290 Al
0.666 0.176 0.710 Al
0.824 0.334 0.790 Al
0.834 0.840 0.414 Al
0.840 0.834 0.914 Al
```

---

(2)
Diffraction record for Sr3Nb4O13. The powder X-ray diffraction pattern is computed, not measured: it uses a cell relaxed with PBE and Cu Kα X-rays.
Intensities are scaled so that the largest is 100.

The 10 most intense peaks (2θ from 10° to 90°), in order of falling intensity:
d_spacing	I (rel.)
3.144	100
2.816	64
1.991	34
1.682	31
1.753	16
2.241	15
1.488	14
1.452	12
1.173	12
1.408	10

```
Sr3Nb4O13
1.0
-1.991 1.991 17.926
1.991 -1.991 17.926
1.991 1.991 -17.926
Sr Nb O
3 4 13
direct
0.000 0.000 0.000 Sr
0.135 0.135 0.000 Sr
0.865 0.865 0.000 Sr
0.306 0.306 0.000 Nb
0.440 0.440 0.000 Nb
0.560 0.560 0.000 Nb
0.694 0.694 0.000 Nb
0.054 0.554 0.500 O
0.177 0.677 0.500 O
0.258 0.258 0.000 O
0.323 0.823 0.500 O
0.387 0.387 0.000 O
0.446 0.946 0.500 O
0.500 0.500 0.000 O
0.554 0.054 0.500 O
0.613 0.613 0.000 O
0.677 0.177 0.500 O
0.742 0.742 0.000 O
0.823 0.323 0.500 O
0.946 0.446 0.500 O
```

---

(3)
Diffraction record for NaLiMnBr4. The powder X-ray diffraction pattern is computed, not measured: it uses a cell relaxed with PBE and Cu Kα X-rays.
Intensities are scaled so that the largest is 100.

The 10 most intense peaks (2θ from 10° to 90°), in order of falling intensity:
d_spacing	I (rel.)
2.894	100
3.358	97
3.325	97
2.045	89
1.740	40
1.753	29
2.063	23
2.033	22
3.483	18
1.188	14

```
NaLiMnBr4
1.0
-4.066 4.126 5.777
4.066 -4.126 5.777
4.066 4.126 -5.777
Na Li Mn Br
2 2 2 8
direct
0.500 0.000 0.000 Na
0.500 0.500 0.500 Na
0.000 0.000 0.000 Li
0.500 0.000 0.500 Li
0.122 0.372 0.750 Mn
0.878 0.628 0.250 Mn
0.235 0.241 0.994 Br
0.245 0.237 0.492 Br
0.245 0.753 0.008 Br
0.254 0.759 0.494 Br
0.746 0.241 0.506 Br
0.755 0.247 0.992 Br
0.755 0.763 0.508 Br
0.765 0.759 0.006 Br
```

---

(4)
Diffraction record for Y2Er2Mg7. The powder X-ray diffraction pattern is computed, not measured: it uses a cell relaxed with PBE and Cu Kα X-rays.
Intensities are scaled so that the largest is 100.

The 10 most intense peaks (2θ from 10° to 90°), in order of falling intensity:
d_spacing	I (rel.)
2.621	100
2.813	92
4.315	82
2.610	44
6.812	38
3.025	31
7.419	29
3.709	27
4.156	25
2.519	24

```
Y2Er2Mg7
1.0
-2.610 7.419 3.834
2.610 -7.419 3.834
2.610 7.419 -3.834
Y Er Mg
2 2 7
direct
0.216 0.000 0.216 Y
0.784 0.000 0.784 Y
0.522 0.022 0.500 Er
0.835 0.835 0.000 Er
0.065 0.681 0.384 Mg
0.251 0.251 0.000 Mg
0.297 0.681 0.616 Mg
0.370 0.524 0.846 Mg
0.663 0.307 0.356 Mg
0.679 0.524 0.154 Mg
0.951 0.307 0.644 Mg
```

---

(5)
Diffraction record for Al5FeNi. The powder X-ray diffraction pattern is computed, not measured: it uses a cell relaxed with PBE and Cu Kα X-rays.
Intensities are scaled so that the largest is 100.

The 10 most intense peaks (2θ from 10° to 90°), in order of falling intensity:
d_spacing	I (rel.)
2.106	100
2.029	86
2.135	71
3.057	67
1.925	45
3.835	35
6.667	29
1.918	21
1.798	14
1.358	14

```
Al5FeNi
1.0
7.671 0.000 0.000
0.000 3.845 6.674
0.000 -3.845 6.674
Al Fe Ni
20 4 4
direct
0.000 0.067 0.067 Al
0.000 0.072 0.655 Al
0.000 0.655 0.072 Al
0.186 0.407 0.407 Al
0.191 0.399 0.991 Al
0.191 0.991 0.399 Al
0.247 0.599 0.599 Al
0.301 0.203 0.797 Al
0.301 0.797 0.203 Al
0.307 0.796 0.796 Al
0.500 0.127 0.127 Al
0.500 0.128 0.543 Al
0.500 0.543 0.128 Al
0.693 0.796 0.796 Al
0.699 0.203 0.797 Al
0.699 0.797 0.203 Al
0.753 0.599 0.599 Al
0.809 0.399 0.991 Al
0.809 0.991 0.399 Al
0.814 0.407 0.407 Al
0.000 0.267 0.267 Fe
0.000 0.345 0.728 Fe
0.000 0.728 0.345 Fe
0.500 0.934 0.934 Fe
0.000 0.726 0.726 Ni
0.500 0.471 0.471 Ni
0.500 0.477 0.850 Ni
0.500 0.850 0.477 Ni
```

---

(6)
Diffraction record for CsK12Na7. The powder X-ray diffraction pattern is computed, not measured: it uses a cell relaxed with PBE and Cu Kα X-rays.
Intensities are scaled so that the largest is 100.

The 10 most intense peaks (2θ from 10° to 90°), in order of falling intensity:
d_spacing	I (rel.)
3.617	100
4.389	76
3.317	63
4.016	55
3.688	40
2.250	36
3.400	30
3.104	27
4.656	27
3.762	25

```
CsK12Na7
1.0
9.952 5.746 3.688
-9.952 5.746 3.688
0.000 -11.492 3.688
Cs K Na
1 12 7
direct
0.000 0.000 0.000 Cs
0.000 0.262 0.738 K
0.000 0.738 0.262 K
0.150 0.472 0.472 K
0.262 0.000 0.738 K
0.262 0.738 0.000 K
0.472 0.150 0.472 K
0.472 0.472 0.150 K
0.528 0.528 0.850 K
0.528 0.850 0.528 K
0.738 0.000 0.262 K
0.738 0.262 0.000 K
0.850 0.528 0.528 K
0.155 0.155 0.496 Na
0.155 0.496 0.155 Na
0.496 0.155 0.155 Na
0.500 0.500 0.500 Na
0.504 0.845 0.845 Na
0.845 0.504 0.845 Na
0.845 0.845 0.504 Na
```